LiCaZnSn2: calculated X-ray powder pattern (CuKα), based on a GGA-PBE-relaxed structure.

```
5
Lattice="-2.225 2.225 6.006 2.225 -2.225 6.006 2.225 2.225 -6.006" Properties=species:S:1:pos:R:3 pbc="T T T"
Li 0.000 0.000 0.000
Ca 2.225 0.000 3.003
Zn 0.000 0.000 6.006
Sn 0.000 2.225 1.590
Sn 0.000 2.225 4.416
```

Principal peaks in the range 2θ = 10–90°, by angle:
2θ = 21.29°, d 4.173, I 100; 2θ = 28.36°, d 3.147, I 48; 2θ = 30.02°, d 2.977, I 76; 2θ = 32.11°, d 2.788, I 32; 2θ = 40.54°, d 2.225, I 56; 2θ = 41.57°, d 2.173, I 60; 2θ = 42.77°, d 2.114, I 48; 2θ = 46.23°, d 1.964, I 28; 2θ = 51.26°, d 1.782, I 34; 2θ = 60.39°, d 1.533, I 35

***

NaTbCl4: calculated X-ray powder pattern (CuKα), based on a GGA-PBE-relaxed structure.

```
12
Lattice="6.788 0.000 0.000 1.495 6.672 0.000 0.434 0.080 7.062" Properties=species:S:1:pos:R:3 pbc="T T T"
Na 1.828 1.277 0.211
Na 6.889 5.475 6.851
Tb 2.675 4.694 3.157
Tb 6.042 2.058 3.905
Cl 1.315 3.402 5.230
Cl 2.413 6.726 4.988
Cl 3.964 5.351 0.994
Cl 3.653 2.161 2.651
Cl 5.064 4.591 4.411
Cl 4.753 1.401 6.068
Cl 6.304 0.026 2.074
Cl 7.402 3.350 1.832
```

Principal peaks in the range 2θ = 10–90°, by angle:
2θ = 12.53°, d 7.062, I 100; 2θ = 16.70°, d 5.310, I 40; 2θ = 18.19°, d 4.877, I 30; 2θ = 20.36°, d 4.361, I 22; 2θ = 20.87°, d 4.256, I 33; 2θ = 21.49°, d 4.136, I 51; 2θ = 24.09°, d 3.694, I 22; 2θ = 29.47°, d 3.031, I 27; 2θ = 31.18°, d 2.868, I 31; 2θ = 42.48°, d 2.128, I 28

***

Pr4SmTl3: calculated X-ray powder pattern (CuKα), based on a GGA-PBE-relaxed structure.

```
8
Lattice="2.787 1.609 9.440 -2.787 1.609 9.440 0.000 -3.219 9.440" Properties=species:S:1:pos:R:3 pbc="T T T"
Pr 0.000 0.000 3.206
Pr 0.000 0.000 10.420
Pr 0.000 0.000 17.901
Pr 0.000 0.000 25.115
Sm 0.000 0.000 14.161
Tl 0.000 0.000 0.000
Tl 0.000 0.000 6.682
Tl 0.000 0.000 21.639
```

Principal peaks in the range 2θ = 10–90°, by angle:
2θ = 31.33°, d 2.855, I 82; 2θ = 32.11°, d 2.787, I 100; 2θ = 43.37°, d 2.087, I 13; 2θ = 45.48°, d 1.994, I 30; 2θ = 55.26°, d 1.662, I 10; 2θ = 56.76°, d 1.622, I 31; 2θ = 57.24°, d 1.609, I 20; 2θ = 59.10°, d 1.563, I 10; 2θ = 67.16°, d 1.394, I 12; 2θ = 75.98°, d 1.252, I 13